# Sm4PuSe5
Computed XRD peak list, Cu Kα. Input: a cell relaxed with PBE.
Neutral-atom scattering factors, no anomalous dispersion.

The 6 most intense peaks (2θ from 10° to 90°), sorted by position:
- 26.2 deg, I 17.7
- 30.3 deg, I 100.0
- 43.3 deg, I 37.8
- 43.6 deg, I 37.4
- 53.8 deg, I 20.0
- 71.5 deg, I 17.1

Structure:
Unit cell a=17.084 b=17.084 c=17.084 alpha=14.04 beta=14.04 gamma=14.04
Fractional positions:
1 Sm 0.101 0.101 0.101
2 Sm 0.300 0.300 0.300
3 Sm 0.700 0.700 0.700
4 Sm 0.899 0.899 0.899
5 Pu 0.500 0.500 0.500
6 Se 0.000 0.000 0.000
7 Se 0.199 0.199 0.199
8 Se 0.400 0.400 0.400
9 Se 0.600 0.600 0.600
10 Se 0.801 0.801 0.801

---

# Sm3Pu4Se8
Computed XRD peak list, Cu Kα. Input: a cell relaxed with PBE.
Neutral-atom scattering factors, no anomalous dispersion.

The 6 most intense peaks (2θ from 10° to 90°), sorted by position:
- 26.3 deg, I 25.5
- 30.5 deg, I 100.0
- 43.6 deg, I 75.3
- 54.1 deg, I 26.7
- 71.9 deg, I 26.0
- 80.1 deg, I 21.7

Structure:
Unit cell a=8.297 b=8.297 c=8.298 alpha=119.95 beta=119.95 gamma=90.05
Fractional positions:
1 Sm 0.000 0.000 0.000
2 Sm 0.000 0.500 0.500
3 Sm 0.500 0.000 0.500
4 Pu 0.000 0.500 0.000
5 Pu 0.500 0.000 0.000
6 Pu 0.500 0.500 0.000
7 Pu 0.500 0.500 0.500
8 Se 0.248 0.248 0.501
9 Se 0.249 0.751 0.500
10 Se 0.251 0.251 0.000
11 Se 0.251 0.749 0.000
12 Se 0.749 0.251 0.000
13 Se 0.749 0.749 0.000
14 Se 0.751 0.249 0.500
15 Se 0.752 0.752 0.499

---

# TbSmPu2Se5
Computed XRD peak list, Cu Kα. Input: a cell relaxed with PBE.
Neutral-atom scattering factors, no anomalous dispersion.

The 6 most intense peaks (2θ from 10° to 90°), sorted by position:
- 23.7 deg, I 36.5
- 24.4 deg, I 86.9
- 30.0 deg, I 37.0
- 34.8 deg, I 100.0
- 46.6 deg, I 22.6
- 49.9 deg, I 22.2

Structure:
Unit cell a=5.165 b=5.165 c=10.918 alpha=90.00 beta=90.00 gamma=90.00
Fractional positions:
1 Tb 0.000 0.000 0.000
2 Sm 0.000 0.000 0.500
3 Pu 0.500 0.500 0.187
4 Pu 0.500 0.500 0.813
5 Se 0.000 0.000 0.254
6 Se 0.000 0.000 0.746
7 Se 0.000 0.500 0.000
8 Se 0.500 0.000 0.000
9 Se 0.500 0.500 0.500

---

Q: What is the formula in the second record?
A: Sm3Pu4Se8